Theoretical powder XRD pattern of SrNbVInO6 for copper Kα, from a DFT-relaxed cell (PBE+U, Alexandria).
Intensities are scaled so that the largest is 100.

Crystal structure
```
10
Lattice="0.000 4.003 4.003 4.003 0.000 4.003 4.003 4.003 0.000" Properties=species:S:1:pos:R:3 pbc="T T T"
Sr 0.000 0.000 0.000
Nb 6.005 6.005 6.005
V 2.002 2.002 2.002
In 4.003 4.003 4.003
O 2.002 2.002 0.018
O 2.002 0.018 2.002
O 3.985 2.002 2.002
O 0.018 2.002 2.002
O 2.002 3.985 2.002
O 2.002 2.002 3.985
```

The 12 most intense peaks (10 to 80 degrees two-theta), sorted by position:
- 19.20 deg, intensity 6
- 31.61 deg, intensity 100
- 37.25 deg, intensity 4
- 38.97 deg, intensity 9
- 45.31 deg, intensity 35
- 49.63 deg, intensity 2
- 56.29 deg, intensity 38
- 60.04 deg, intensity 1
- 66.01 deg, intensity 20
- 69.45 deg, intensity 1
- 75.03 deg, intensity 16
- 79.39 deg, intensity 2